For BaNbH, DFT lattice parameters and positions (PBE) gives the calculated X-ray powder pattern in this record (Cu Ka).

Structural model:
```
data_BaNbH
_chemical_formula_sum 'Ba2 Nb2 H2'
_symmetry_space_group_name_H-M 'P 1'
_symmetry_Int_Tables_number 1
_cell_length_a 3.6272
_cell_length_b 3.9020
_cell_length_c 10.3941
_cell_angle_alpha 86.70
_cell_angle_beta 80.16
_cell_angle_gamma 89.99
loop_
_symmetry_equiv_pos_as_xyz
'x,y,z'
loop_
_atom_site_label
_atom_site_type_symbol
_atom_site_fract_x
_atom_site_fract_y
_atom_site_fract_z
Ba1 Ba 0.0000 0.0000 0.0000
Ba2 Ba 0.1959 0.3928 0.6114
Nb1 Nb 0.3665 0.4491 0.2646
Nb2 Nb 0.8245 0.9342 0.3496
H1 H 0.7302 0.9045 0.5423
H2 H 0.8183 0.4326 0.3627
```

Most intense lines, 2θ from 10° to 90°, by angle:
h k l  Position (°2θ)  I (rel.)
0 1 1  23.97  271
1 0 1  24.93  466
0 0 3  26.15  597
0 1 -2  29.63  360
1 0 -2  32.95  361
1 0 3  33.07  358
1 -1 0  33.89  1000
1 1 0  34.23  300
2 0 1  50.31  154
1 0 6  55.67  180